1.
# TaReW3
Calculated X-ray powder pattern, Cu Kα X-rays. Input: DFT lattice parameters and positions (GGA-PBE).
Kinematic intensities with the Lorentz-polarization factor, no thermal factor.

Atomic structure:
```
data_TaReW3
_chemical_formula_sum 'Ta4 Re4 W12'
_space_group_name_H-M_alt 'P n n a'
_space_group_IT_number 52
_space_group_name_Hall '-P 2a 2bc'
_cell_length_a 13.293
_cell_length_b 5.216
_cell_length_c 4.855
_cell_angle_alpha 90.00
_cell_angle_beta 90.00
_cell_angle_gamma 90.00
loop_
_atom_site_label
_atom_site_type_symbol
_atom_site_fract_x
_atom_site_fract_y
_atom_site_fract_z
Ta1 Ta 0.056 0.250 0.250
Re1 Re 0.250 0.000 0.159
W1 W 0.060 0.750 0.250
W2 W 0.145 0.501 0.793
```

The 6 most intense peaks (10 to 80 degrees two-theta), sorted by position:
- hkl 0 0 2, 2.428 Å, 37.03 deg, I 100.0
- hkl 5 0 1, 2.332 Å, 38.61 deg, I 100.0
- hkl 1 1 2, 2.171 Å, 41.59 deg, I 22.2
- hkl 3 2 1, 2.040 Å, 44.41 deg, I 69.5
- hkl 2 2 2, 1.717 Å, 53.37 deg, I 19.9
- hkl 8 2 0, 1.401 Å, 66.75 deg, I 24.0

2.
# Ta4Re3W
Calculated X-ray powder pattern, Cu Kα X-rays. Input: DFT lattice parameters and positions (GGA-PBE).
Kinematic intensities with the Lorentz-polarization factor, no thermal factor.

Atomic structure:
```
data_Ta4Re3W
_chemical_formula_sum 'Ta4 Re3 W1'
_space_group_name_H-M_alt 'P 4/m m m'
_space_group_IT_number 123
_space_group_name_Hall '-P 4 2'
_cell_length_a 3.209
_cell_length_b 3.209
_cell_length_c 12.878
_cell_angle_alpha 90.00
_cell_angle_beta 90.00
_cell_angle_gamma 90.00
loop_
_atom_site_label
_atom_site_type_symbol
_atom_site_fract_x
_atom_site_fract_y
_atom_site_fract_z
Ta1 Ta 0.000 0.000 0.124
Ta2 Ta 0.000 0.000 0.373
Re1 Re 0.500 0.500 0.000
Re2 Re 0.500 0.500 0.248
W1 W 0.500 0.500 0.500
```

The 5 most intense peaks (10 to 80 degrees two-theta), sorted by position:
- hkl 1 1 0, 2.271 Å, 39.68 deg, I 100.0
- hkl 0 0 8, 1.610 Å, 57.23 deg, I 5.8
- hkl 2 0 0, 1.604 Å, 57.44 deg, I 11.5
- hkl 1 1 8, 1.313 Å, 71.92 deg, I 11.8
- hkl 2 1 4, 1.311 Å, 72.06 deg, I 23.5

3.
# Ta4ReW3
Calculated X-ray powder pattern, Cu Kα X-rays. Input: DFT lattice parameters and positions (GGA-PBE).
Kinematic intensities with the Lorentz-polarization factor, no thermal factor.

Atomic structure:
```
data_Ta4ReW3
_chemical_formula_sum 'Ta4 Re1 W3'
_space_group_name_H-M_alt 'P m m m'
_space_group_IT_number 47
_space_group_name_Hall '-P 2 2'
_cell_length_a 3.232
_cell_length_b 4.569
_cell_length_c 9.134
_cell_angle_alpha 90.00
_cell_angle_beta 90.00
_cell_angle_gamma 90.00
loop_
_atom_site_label
_atom_site_type_symbol
_atom_site_fract_x
_atom_site_fract_y
_atom_site_fract_z
Ta1 Ta 0.000 0.000 0.000
Ta2 Ta 0.000 0.000 0.500
Ta3 Ta 0.000 0.500 0.247
Re1 Re 0.500 0.500 0.000
W1 W 0.500 0.000 0.249
W2 W 0.500 0.500 0.500
```

The 3 most intense peaks (10 to 80 degrees two-theta), sorted by position:
- hkl 1 1 2, 2.284 Å, 39.44 deg, I 100.0
- hkl 2 0 0, 1.615 Å, 57.01 deg, I 17.3
- hkl 2 2 0, 1.319 Å, 71.54 deg, I 35.3

4.
# ReTc
Calculated X-ray powder pattern, Cu Kα X-rays. Input: DFT lattice parameters and positions (GGA-PBE).
Kinematic intensities with the Lorentz-polarization factor, no thermal factor.

Atomic structure:
```
data_ReTc
_chemical_formula_sum 'Re1 Tc1'
_space_group_name_H-M_alt 'P 4/m m m'
_space_group_IT_number 123
_space_group_name_Hall '-P 4 2'
_cell_length_a 2.758
_cell_length_b 2.758
_cell_length_c 3.897
_cell_angle_alpha 90.00
_cell_angle_beta 90.00
_cell_angle_gamma 90.00
loop_
_atom_site_label
_atom_site_type_symbol
_atom_site_fract_x
_atom_site_fract_y
_atom_site_fract_z
Re1 Re 0.000 0.000 0.000
Tc1 Tc 0.500 0.500 0.500
```

The 6 most intense peaks (10 to 80 degrees two-theta), sorted by position:
- hkl 0 0 1, 3.897 Å, 22.82 deg, I 8.6
- hkl 1 0 0, 2.758 Å, 32.47 deg, I 7.4
- hkl 1 0 1, 2.251 Å, 40.05 deg, I 100.0
- hkl 1 1 0, 1.949 Å, 46.59 deg, I 48.7
- hkl 1 1 1, 1.744 Å, 52.47 deg, I 4.1
- hkl 2 0 0, 1.378 Å, 68.01 deg, I 31.4

5.
# Re5Tc6
Calculated X-ray powder pattern, Cu Kα X-rays. Input: DFT lattice parameters and positions (GGA-PBE).
Kinematic intensities with the Lorentz-polarization factor, no thermal factor.

Atomic structure:
```
data_Re5Tc6
_chemical_formula_sum 'Re10 Tc12'
_space_group_name_H-M_alt 'C 1 2/m 1'
_space_group_IT_number 12
_space_group_name_Hall '-C 2y'
_cell_length_a 7.239
_cell_length_b 10.296
_cell_length_c 4.750
_cell_angle_alpha 90.00
_cell_angle_beta 107.45
_cell_angle_gamma 90.00
loop_
_atom_site_label
_atom_site_type_symbol
_atom_site_fract_x
_atom_site_fract_y
_atom_site_fract_z
Re1 Re 0.000 0.000 0.000
Re2 Re 0.000 0.128 0.500
Re3 Re 0.000 0.261 0.000
Tc1 Tc 0.173 0.500 0.179
Tc2 Tc 0.187 0.365 0.672
```

The 6 most intense peaks (10 to 80 degrees two-theta), sorted by position:
- hkl 1 3 1, 2.399 Å, 37.49 deg, I 66.0
- hkl 3 1 0, 2.247 Å, 40.14 deg, I 54.1
- hkl 0 4 1, 2.238 Å, 40.30 deg, I 100.0
- hkl 2 0 -2, 2.225 Å, 40.55 deg, I 81.6
- hkl 2 4 -1, 2.020 Å, 44.88 deg, I 67.1
- hkl 3 3 -1, 1.943 Å, 46.75 deg, I 37.9

6.
# ReTc4
Calculated X-ray powder pattern, Cu Kα X-rays. Input: DFT lattice parameters and positions (GGA-PBE).
Kinematic intensities with the Lorentz-polarization factor, no thermal factor.

Atomic structure:
```
data_ReTc4
_chemical_formula_sum 'Re2 Tc8'
_space_group_name_H-M_alt 'I 4/m'
_space_group_IT_number 87
_space_group_name_Hall '-I 4'
_cell_length_a 6.150
_cell_length_b 6.150
_cell_length_c 3.886
_cell_angle_alpha 90.00
_cell_angle_beta 90.00
_cell_angle_gamma 90.00
loop_
_atom_site_label
_atom_site_type_symbol
_atom_site_fract_x
_atom_site_fract_y
_atom_site_fract_z
Re1 Re 0.000 0.000 0.000
Tc1 Tc 0.100 0.699 0.500
```

The 6 most intense peaks (10 to 80 degrees two-theta), sorted by position:
- hkl 1 1 0, 4.349 Å, 20.42 deg, I 5.0
- hkl 1 0 1, 3.285 Å, 27.14 deg, I 5.4
- hkl 2 0 0, 3.075 Å, 29.04 deg, I 2.4
- hkl 1 2 1, 2.245 Å, 40.17 deg, I 100.0
- hkl 3 1 0, 1.944 Å, 46.72 deg, I 48.2
- hkl 3 1 2, 1.375 Å, 68.22 deg, I 30.8

7.
# Re3Tc5
Calculated X-ray powder pattern, Cu Kα X-rays. Input: DFT lattice parameters and positions (GGA-PBE).
Kinematic intensities with the Lorentz-polarization factor, no thermal factor.

Atomic structure:
```
data_Re3Tc5
_chemical_formula_sum 'Re3 Tc5'
_space_group_name_H-M_alt 'P m m 2'
_space_group_IT_number 25
_space_group_name_Hall 'P 2 -2'
_cell_length_a 2.764
_cell_length_b 4.443
_cell_length_c 9.588
_cell_angle_alpha 90.00
_cell_angle_beta 90.00
_cell_angle_gamma 90.00
loop_
_atom_site_label
_atom_site_type_symbol
_atom_site_fract_x
_atom_site_fract_y
_atom_site_fract_z
Re1 Re 0.000 0.000 0.000
Re2 Re 0.000 0.500 0.167
Re3 Re 0.500 0.000 0.252
Tc1 Tc 0.000 0.000 0.501
Tc2 Tc 0.000 0.500 0.667
Tc3 Tc 0.500 0.000 0.750
Tc4 Tc 0.500 0.500 0.419
Tc5 Tc 0.500 0.500 0.917
```

The 6 most intense peaks (10 to 80 degrees two-theta), sorted by position:
- hkl 1 0 2, 2.395 Å, 37.55 deg, I 24.6
- hkl 0 2 0, 2.221 Å, 40.62 deg, I 25.9
- hkl 1 1 2, 2.108 Å, 42.90 deg, I 100.0
- hkl 1 2 2, 1.629 Å, 56.50 deg, I 15.0
- hkl 2 0 0, 1.383 Å, 67.77 deg, I 16.9
- hkl 1 3 2, 1.260 Å, 75.48 deg, I 18.7

8.
# Re3Tc7
Calculated X-ray powder pattern, Cu Kα X-rays. Input: DFT lattice parameters and positions (GGA-PBE).
Kinematic intensities with the Lorentz-polarization factor, no thermal factor.

Atomic structure:
```
data_Re3Tc7
_chemical_formula_sum 'Re6 Tc14'
_space_group_name_H-M_alt 'C m m m'
_space_group_IT_number 65
_space_group_name_Hall '-C 2 2'
_cell_length_a 4.219
_cell_length_b 12.862
_cell_length_c 5.485
_cell_angle_alpha 90.00
_cell_angle_beta 90.00
_cell_angle_gamma 90.00
loop_
_atom_site_label
_atom_site_type_symbol
_atom_site_fract_x
_atom_site_fract_y
_atom_site_fract_z
Re1 Re 0.000 0.000 0.000
Re2 Re 0.000 0.198 0.500
Tc1 Tc 0.000 0.000 0.500
Tc2 Tc 0.000 0.200 0.000
Tc3 Tc 0.000 0.393 0.249
```

The 6 most intense peaks (10 to 80 degrees two-theta), sorted by position:
- hkl 1 1 2, 2.263 Å, 39.83 deg, I 85.4
- hkl 1 5 0, 2.196 Å, 41.10 deg, I 100.0
- hkl 2 0 0, 2.109 Å, 42.87 deg, I 45.0
- hkl 0 4 2, 2.087 Å, 43.36 deg, I 36.0
- hkl 2 4 2, 1.483 Å, 62.62 deg, I 23.9
- hkl 3 5 0, 1.234 Å, 77.33 deg, I 15.4